# 1
Structure and calculated powder X-ray diffraction pattern of Tb4Y5Ho2 (the GGA-PBE geometry in Alexandria; λ = 1.5418 Å (Cu Kα)).

Largest 8 diffraction maxima, in order of rising 2θ, 10 to 90 degrees two-theta:
d_spacing  intensity  hkl
3.141  23  1 1 -2
3.006  37  3 1 -2
2.886  100  4 0 1
2.745  56  1 1 -3
2.692  37  2 0 -5
2.497  33  5 1 -2
1.503  29  4 2 1
1.474  22  2 2 -5

Crystal structure
Unit cell a=17.905 b=3.523 c=14.390 alpha=90.00 beta=128.23 gamma=90.00
Space group C2/m (No. 12)
Symmetry-distinct sites (fractional):
Tb 0.086 0.000 0.149 [4 per cell]
Tb 0.137 0.500 0.976 [4 per cell]
Y 0.000 0.000 0.500 [2 per cell]
Y 0.184 0.500 0.765 [4 per cell]
Y 0.229 0.000 0.591 [4 per cell]
Ho 0.048 0.500 0.332 [4 per cell]

---

# 2
Structure and calculated powder X-ray diffraction pattern of Ac2Ga2Pt15 (the GGA-PBE geometry in Alexandria; λ = 1.5418 Å (Cu Kα)).

Largest 8 diffraction maxima, in order of rising 2θ, 10 to 90 degrees two-theta:
d_spacing  intensity  hkl
2.729  22  3 0 0
2.363  38  2 2 0
2.332  100  3 0 3
2.245  34  0 0 6
2.091  60  2 2 3
1.487  23  3 3 3
1.365  23  6 0 0
1.166  24  6 0 6

Crystal structure
Unit cell a=9.4539 b=9.4539 c=13.4680 alpha=90.00 beta=90.00 gamma=120.00
Space group R-3m (No. 166, hexagonal axes)
Symmetry-distinct sites (fractional):
Ac 0.0000 0.0000 0.1547 [6 per cell]
Ga 0.0000 0.0000 0.4018 [6 per cell]
Pt 0.0000 0.3132 0.5000 [18 per cell]
Pt 0.0000 0.5000 0.0000 [9 per cell]
Pt 0.0011 0.5005 0.3403 [18 per cell]

---

# 3
Structure and calculated powder X-ray diffraction pattern of Dy4YN5 (the GGA-PBE geometry in Alexandria; λ = 1.5418 Å (Cu Kα)).

Largest 8 diffraction maxima, in order of rising 2θ, 10 to 90 degrees two-theta:
d_spacing  intensity  hkl
2.837  100  1 0 5
2.457  74  1 1 0
1.737  50  2 0 0
1.482  44  2 1 5
1.418  17  2 0 10
1.228  8  2 2 0
1.127  19  3 0 5
1.099  23  3 1 0

Crystal structure
Unit cell a=3.475 b=3.475 c=24.564 alpha=90.00 beta=90.00 gamma=90.00
Space group I4/mmm (No. 139)
Symmetry-distinct sites (fractional):
Dy 0.000 0.000 0.100 [4 per cell]
Dy 0.000 0.000 0.300 [4 per cell]
Y 0.000 0.000 0.500 [2 per cell]
N 0.000 0.000 0.000 [2 per cell]
N 0.000 0.000 0.200 [4 per cell]
N 0.000 0.000 0.400 [4 per cell]